Structure and simulated PXRD pattern of YMnIO6 (a structure optimized by DFT (PBE+U); Cu Kα (λ = 1.5418 Å)).
No peak broadening, texture or thermal motion is included.

Structure:
a b c (Å): 5.5491 5.5491 8.9825
angles (deg): 90.00 90.00 120.00
Fractional positions:
Y1 0.3333 0.6667 0.2500
Y2 0.6667 0.3333 0.7500
Mn1 0.0000 0.0000 0.0000
Mn2 0.0000 0.0000 0.5000
I1 0.3333 0.6667 0.7500
I2 0.6667 0.3333 0.2500
O1 0.0500 0.3781 0.6310
O2 0.0500 0.6720 0.8690
O3 0.3280 0.3781 0.8690
O4 0.3280 0.9500 0.6310
O5 0.3781 0.0500 0.1310
O6 0.3781 0.3280 0.3690
O7 0.6219 0.6720 0.6310
O8 0.6219 0.9500 0.8690
O9 0.6720 0.0500 0.3690
O10 0.6720 0.6219 0.1310
O11 0.9500 0.3280 0.1310
O12 0.9500 0.6219 0.3690

Largest 10 diffraction maxima, most intense first, 2θ = 10–80°:
| 2θ/deg | d [Å] | I (rel.) |
| --- | --- | --- |
| 27.18 | 3.281 | 1000 |
| 32.26 | 2.775 | 595 |
| 52.42 | 1.746 | 545 |
| 38.12 | 2.360 | 446 |
| 19.77 | 4.491 | 375 |
| 42.68 | 2.119 | 280 |
| 54.49 | 1.684 | 269 |
| 57.54 | 1.602 | 236 |
| 18.46 | 4.806 | 168 |
| 20.96 | 4.237 | 125 |